1.
Diffraction record for Hf5NbGa5. The X-ray powder pattern is calculated, not measured: it uses DFT lattice parameters and positions (PBE) and a wavelength of 1.5418 Å.
Peak positions follow from Bragg's law for the DFT cell and can differ from measured ones.

Crystal structure
```
data_Hf5NbGa5
_space_group_name_H-M_alt 'P 1 2/m 1'
_space_group_IT_number 10
_cell_length_a 4.844
_cell_length_b 6.138
_cell_length_c 7.568
_cell_angle_alpha 90.00
_cell_angle_beta 105.92
_cell_angle_gamma 90.00
loop_
_space_group_symop_operation_xyz
'x,y,z'
'-x,-y,-z'
'-x,y,-z'
'x,-y,z'
loop_
_atom_site_label
_atom_site_fract_x
_atom_site_fract_y
_atom_site_fract_z
Hf1 0.000 0.000 0.000
Hf2 0.404 0.242 0.710
Nb1 0.000 0.500 0.000
Ga1 0.139 0.000 0.373
Ga2 0.144 0.500 0.375
Ga3 0.500 0.500 0.000
```

Peak list (10 most intense, 15 to 90 degrees two-theta, by intensity)
- hkl 1 2 0, 35.01°, intensity 1000
- hkl 0 2 2, 38.37°, intensity 770
- hkl 2 0 -1, 37.17°, intensity 627
- hkl 0 0 3, 37.06°, intensity 500
- hkl 1 2 -2, 39.84°, intensity 492
- hkl 1 0 -2, 26.63°, intensity 487
- hkl 1 2 1, 38.98°, intensity 313
- hkl 2 4 -1, 72.99°, intensity 303
- hkl 1 0 2, 35.22°, intensity 293
- hkl 0 2 5, 71.78°, intensity 267

---

2.
Diffraction record for HfNb6Ga8. The X-ray powder pattern is calculated, not measured: it uses DFT lattice parameters and positions (PBE) and a wavelength of 1.5418 Å.
Peak positions follow from Bragg's law for the DFT cell and can differ from measured ones.

Crystal structure
```
data_HfNb6Ga8
_space_group_name_H-M_alt 'R -3'
_space_group_IT_number 148
_space_group_name_Hall '-R 3'
_cell_length_a 7.7206
_cell_length_b 7.7206
_cell_length_c 15.5697
_cell_angle_alpha 90.00
_cell_angle_beta 90.00
_cell_angle_gamma 120.00
loop_
_atom_site_label
_atom_site_fract_x
_atom_site_fract_y
_atom_site_fract_z
Hf1 0.0000 0.0000 0.0000
Nb1 0.0010 0.7566 0.6025
Ga1 0.0000 0.0000 0.2758
Ga2 0.0211 0.4023 0.5590
```

Peak list (10 most intense, 15 to 90 degrees two-theta, by intensity)
- hkl 3 -2 2, 37.41°, intensity 1000
- hkl 2 1 4, 42.66°, intensity 898
- hkl 2 -1 6, 41.95°, intensity 843
- hkl 3 0 0, 40.47°, intensity 688
- hkl 3 -1 1, 36.00°, intensity 533
- hkl 2 -1 3, 28.82°, intensity 472
- hkl 0 2 4, 35.39°, intensity 469
- hkl 0 0 3, 17.08°, intensity 243
- hkl 0 0 6, 34.57°, intensity 241
- hkl 1 1 12, 77.65°, intensity 206

---

3.
Diffraction record for Nd2HfGa4Pd3. The X-ray powder pattern is calculated, not measured: it uses DFT lattice parameters and positions (PBE) and a wavelength of 1.5418 Å.
Peak positions follow from Bragg's law for the DFT cell and can differ from measured ones.

Crystal structure
```
data_Nd2HfGa4Pd3
_space_group_name_H-M_alt 'P -4 m 2'
_space_group_IT_number 115
_cell_length_a 4.203
_cell_length_b 4.203
_cell_length_c 11.447
_cell_angle_alpha 90.00
_cell_angle_beta 90.00
_cell_angle_gamma 90.00
loop_
_space_group_symop_operation_xyz
'x,y,z'
'y,-x,-z'
'-x,-y,z'
'-y,x,-z'
'-x,y,z'
'-y,-x,-z'
'x,-y,z'
'y,x,-z'
loop_
_atom_site_label
_atom_site_fract_x
_atom_site_fract_y
_atom_site_fract_z
Nd1 0.000 0.500 0.242
Hf1 0.000 0.000 0.500
Ga1 0.000 0.000 0.000
Ga2 0.000 0.500 0.654
Ga3 0.500 0.500 0.000
Pd1 0.000 0.500 0.872
Pd2 0.500 0.500 0.500
```

Peak list (10 most intense, 15 to 90 degrees two-theta, by intensity)
- hkl 1 1 2, 33.99°, intensity 1000
- hkl 2 0 0, 43.04°, intensity 503
- hkl 1 0 3, 31.67°, intensity 445
- hkl 1 0 5, 45.10°, intensity 265
- hkl 3 1 2, 73.09°, intensity 212
- hkl 2 1 3, 54.42°, intensity 191
- hkl 2 1 5, 64.10°, intensity 183
- hkl 1 1 4, 43.92°, intensity 181
- hkl 2 2 0, 62.50°, intensity 164
- hkl 1 1 6, 57.39°, intensity 114

---

4.
Diffraction record for Hf2GaNi6. The X-ray powder pattern is calculated, not measured: it uses DFT lattice parameters and positions (PBE) and a wavelength of 1.5418 Å.
Peak positions follow from Bragg's law for the DFT cell and can differ from measured ones.

Crystal structure
```
data_Hf2GaNi6
_space_group_name_H-M_alt 'C m m m'
_space_group_IT_number 65
_space_group_name_Hall '-C 2 2'
_cell_length_a 6.775
_cell_length_b 12.583
_cell_length_c 2.990
_cell_angle_alpha 90.00
_cell_angle_beta 90.00
_cell_angle_gamma 90.00
loop_
_atom_site_label
_atom_site_fract_x
_atom_site_fract_y
_atom_site_fract_z
Hf1 0.000 0.190 0.000
Ga1 0.000 0.500 0.500
Ni1 0.191 0.342 0.500
Ni2 0.196 0.000 0.000
```

Peak list (10 most intense, 15 to 90 degrees two-theta, by intensity)
- hkl 2 2 1, 42.83°, intensity 1000
- hkl 3 3 0, 45.62°, intensity 863
- hkl 1 1 1, 33.53°, intensity 683
- hkl 1 5 1, 49.20°, intensity 582
- hkl 1 3 0, 24.97°, intensity 519
- hkl 1 3 1, 39.32°, intensity 430
- hkl 0 6 0, 43.13°, intensity 430
- hkl 2 0 1, 40.23°, intensity 316
- hkl 3 3 2, 80.36°, intensity 310
- hkl 2 2 0, 29.94°, intensity 275

---

5.
Diffraction record for HfGa2Ni. The X-ray powder pattern is calculated, not measured: it uses DFT lattice parameters and positions (PBE) and a wavelength of 1.5418 Å.
Peak positions follow from Bragg's law for the DFT cell and can differ from measured ones.

Crystal structure
```
data_HfGa2Ni
_space_group_name_H-M_alt 'P n m a'
_space_group_IT_number 62
_cell_length_a 15.004
_cell_length_b 6.350
_cell_length_c 5.207
_cell_angle_alpha 90.00
_cell_angle_beta 90.00
_cell_angle_gamma 90.00
loop_
_space_group_symop_operation_xyz
'x,y,z'
'-x,-y,-z'
'-x+1/2,-y,z+1/2'
'x+1/2,y,-z+1/2'
'x+1/2,-y+1/2,-z+1/2'
'-x+1/2,y+1/2,z+1/2'
'-x,y+1/2,-z'
'x,-y+1/2,z'
loop_
_atom_site_label
_atom_site_fract_x
_atom_site_fract_y
_atom_site_fract_z
Hf1 0.111 0.250 0.229
Hf2 0.143 0.750 0.468
Ga1 0.030 0.047 0.730
Ga2 0.218 0.550 0.963
Ni1 0.076 0.750 0.992
Ni2 0.169 0.250 0.714
```

Peak list (10 most intense, 15 to 90 degrees two-theta, by intensity)
- hkl 2 1 2, 39.28°, intensity 1000
- hkl 4 2 0, 37.10°, intensity 829
- hkl 3 2 1, 37.76°, intensity 386
- hkl 5 1 1, 37.37°, intensity 308
- hkl 6 0 1, 40.00°, intensity 271
- hkl 1 3 1, 46.72°, intensity 269
- hkl 2 2 1, 35.20°, intensity 266
- hkl 7 0 1, 45.78°, intensity 225
- hkl 2 3 2, 57.44°, intensity 187
- hkl 6 3 2, 68.33°, intensity 186

---

6.
Diffraction record for HfGa4Ni15. The X-ray powder pattern is calculated, not measured: it uses DFT lattice parameters and positions (PBE) and a wavelength of 1.5418 Å.
Peak positions follow from Bragg's law for the DFT cell and can differ from measured ones.

Crystal structure
```
data_HfGa4Ni15
_space_group_name_H-M_alt 'P 4/m m m'
_space_group_IT_number 123
_space_group_name_Hall '-P 4 2'
_cell_length_a 3.622
_cell_length_b 3.622
_cell_length_c 17.964
_cell_angle_alpha 90.00
_cell_angle_beta 90.00
_cell_angle_gamma 90.00
loop_
_atom_site_label
_atom_site_fract_x
_atom_site_fract_y
_atom_site_fract_z
Hf1 0.000 0.000 0.000
Ga1 0.000 0.000 0.205
Ga2 0.000 0.000 0.402
Ni1 0.000 0.500 0.107
Ni2 0.000 0.500 0.303
Ni3 0.000 0.500 0.500
Ni4 0.500 0.500 0.000
Ni5 0.500 0.500 0.205
Ni6 0.500 0.500 0.401
```

Peak list (10 most intense, 15 to 90 degrees two-theta, by intensity)
- hkl 1 1 5, 43.39°, intensity 1000
- hkl 2 0 0, 50.39°, intensity 321
- hkl 3 1 5, 89.90°, intensity 226
- hkl 2 0 10, 74.38°, intensity 177
- hkl 0 0 10, 50.83°, intensity 147
- hkl 2 2 0, 74.03°, intensity 95
- hkl 1 0 0, 24.58°, intensity 22
- hkl 1 0 1, 25.08°, intensity 21
- hkl 1 1 4, 40.55°, intensity 20
- hkl 1 0 2, 26.54°, intensity 19

---

7.
Diffraction record for Hf6Ga3Ni. The X-ray powder pattern is calculated, not measured: it uses DFT lattice parameters and positions (PBE) and a wavelength of 1.5418 Å.
Peak positions follow from Bragg's law for the DFT cell and can differ from measured ones.

Crystal structure
```
data_Hf6Ga3Ni
_space_group_name_H-M_alt 'P 1 21/c 1'
_space_group_IT_number 14
_cell_length_a 5.475
_cell_length_b 7.658
_cell_length_c 10.792
_cell_angle_alpha 90.00
_cell_angle_beta 118.80
_cell_angle_gamma 90.00
loop_
_space_group_symop_operation_xyz
'x,y,z'
'-x,-y,-z'
'-x,y+1/2,-z+1/2'
'x,-y+1/2,z+1/2'
loop_
_atom_site_label
_atom_site_fract_x
_atom_site_fract_y
_atom_site_fract_z
Hf1 0.046 0.168 0.439
Hf2 0.342 0.683 0.438
Hf3 0.413 0.044 0.258
Ga1 0.000 0.000 0.000
Ga2 0.146 0.119 0.756
Ni1 0.500 0.000 0.500
```

Peak list (10 most intense, 15 to 90 degrees two-theta, by intensity)
- hkl 1 3 -1, 38.93°, intensity 1000
- hkl 1 1 2, 34.47°, intensity 591
- hkl 1 1 -4, 35.27°, intensity 588
- hkl 2 1 -2, 34.82°, intensity 587
- hkl 0 2 2, 30.03°, intensity 542
- hkl 2 1 -3, 36.39°, intensity 473
- hkl 1 2 -3, 34.57°, intensity 432
- hkl 1 2 1, 34.03°, intensity 405
- hkl 2 1 -1, 35.87°, intensity 404
- hkl 1 0 2, 32.36°, intensity 400

---

8.
Diffraction record for Hf4GaNi. The X-ray powder pattern is calculated, not measured: it uses DFT lattice parameters and positions (PBE) and a wavelength of 1.5418 Å.
Peak positions follow from Bragg's law for the DFT cell and can differ from measured ones.

Crystal structure
```
data_Hf4GaNi
_space_group_name_H-M_alt 'P 4/m c c'
_space_group_IT_number 124
_space_group_name_Hall '-P 4 2c'
_cell_length_a 6.588
_cell_length_b 6.588
_cell_length_c 5.243
_cell_angle_alpha 90.00
_cell_angle_beta 90.00
_cell_angle_gamma 90.00
loop_
_atom_site_label
_atom_site_fract_x
_atom_site_fract_y
_atom_site_fract_z
Hf1 0.150 0.333 0.000
Ga1 0.500 0.500 0.250
Ni1 0.000 0.000 0.250
```

Peak list (10 most intense, 15 to 90 degrees two-theta, by intensity)
- hkl 2 1 1, 34.93°, intensity 1000
- hkl 3 1 0, 43.44°, intensity 249
- hkl 2 1 3, 61.71°, intensity 196
- hkl 2 0 2, 44.15°, intensity 167
- hkl 3 3 2, 70.49°, intensity 148
- hkl 1 1 2, 39.44°, intensity 147
- hkl 0 0 2, 34.20°, intensity 147
- hkl 4 1 1, 60.58°, intensity 135
- hkl 5 2 1, 80.65°, intensity 111
- hkl 4 0 2, 67.12°, intensity 91

---

9.
Diffraction record for HfGaSbO6. The X-ray powder pattern is calculated, not measured: it uses DFT lattice parameters and positions (PBE) and a wavelength of 1.5418 Å.
Peak positions follow from Bragg's law for the DFT cell and can differ from measured ones.

Crystal structure
```
data_HfGaSbO6
_space_group_name_H-M_alt 'P 42 n m'
_space_group_IT_number 102
_cell_length_a 4.745
_cell_length_b 4.745
_cell_length_c 9.397
_cell_angle_alpha 90.00
_cell_angle_beta 90.00
_cell_angle_gamma 90.00
loop_
_space_group_symop_operation_xyz
'x,y,z'
'-y+1/2,x+1/2,z+1/2'
'-x,-y,z'
'y+1/2,-x+1/2,z+1/2'
'-x+1/2,y+1/2,z+1/2'
'y,x,z'
'x+1/2,-y+1/2,z+1/2'
'-y,-x,z'
loop_
_atom_site_label
_atom_site_fract_x
_atom_site_fract_y
_atom_site_fract_z
Hf1 0.000 0.000 0.000
Ga1 0.000 0.000 0.668
Sb1 0.000 0.000 0.335
O1 0.189 0.189 0.501
O2 0.197 0.197 0.174
O3 0.199 0.199 0.832
```

Peak list (10 most intense, 15 to 90 degrees two-theta, by intensity)
- hkl 1 1 0, 26.57°, intensity 1000
- hkl 1 0 3, 34.31°, intensity 795
- hkl 2 1 3, 52.06°, intensity 658
- hkl 2 0 0, 37.93°, intensity 232
- hkl 3 0 3, 66.19°, intensity 195
- hkl 1 0 1, 20.97°, intensity 172
- hkl 2 2 0, 54.72°, intensity 162
- hkl 3 1 0, 61.84°, intensity 153
- hkl 1 1 6, 65.81°, intensity 150
- hkl 3 2 3, 78.91°, intensity 132